[1]
Starting from DFT lattice parameters and positions (PBE), the X-ray diffraction stick pattern of Tb2Dy2Mg3 was computed for copper Kα.
No peak broadening, texture or thermal motion is included.

Structure:
abc: 8.1778 8.1778 8.1778
angles: 109.47 109.47 109.47
Fractional positions:
Tb  0.0000  0.6617  0.5000
Tb  0.5000  0.0000  0.6617
Tb  0.6617  0.5000  0.0000
Tb  0.8383  0.8383  0.8383
Dy  0.0000  0.1483  0.5000
Dy  0.1483  0.5000  0.0000
Dy  0.3517  0.3517  0.3517
Dy  0.5000  0.0000  0.1483
Mg  0.1316  0.8816  0.2500
Mg  0.2500  0.1316  0.8816
Mg  0.3684  0.6184  0.7500
Mg  0.6184  0.7500  0.3684
Mg  0.7500  0.3684  0.6184
Mg  0.8816  0.2500  0.1316

Principal peaks in the range 15° ≤ 2θ ≤ 90°, in order of falling intensity:
- 2θ = 29.92°, I 100
- 2θ = 35.57°, I 93
- 2θ = 23.07°, I 84
- 2θ = 49.20°, I 53
- 2θ = 47.15°, I 43
- 2θ = 60.43°, I 29

***

[2]
Starting from DFT lattice parameters and positions (PBE), the X-ray diffraction stick pattern of La2CoH8 was computed for copper Kα.
No peak broadening, texture or thermal motion is included.

Structure:
abc: 7.3402 7.3402 4.1864
angles: 104.24 104.24 28.70
Fractional positions:
La  0.1414  0.1414  0.1421
La  0.8586  0.8586  0.8579
Co  0.5000  0.5000  0.5000
H  0.0072  0.0072  0.6384
H  0.2423  0.2423  0.7401
H  0.3870  0.3870  0.2907
H  0.4519  0.4519  0.7929
H  0.5481  0.5481  0.2071
H  0.6130  0.6130  0.7093
H  0.7577  0.7577  0.2599
H  0.9928  0.9928  0.3616

Principal peaks in the range 15° ≤ 2θ ≤ 90°, in order of falling intensity:
- 2θ = 32.62°, I 100
- 2θ = 31.39°, I 93
- 2θ = 28.27°, I 62
- 2θ = 29.50°, I 55
- 2θ = 25.91°, I 28
- 2θ = 43.26°, I 24

***

[3]
Starting from DFT lattice parameters and positions (PBE), the X-ray diffraction stick pattern of Tb3HoHg4 was computed for copper Kα.
No peak broadening, texture or thermal motion is included.

Structure:
abc: 3.7274 3.7274 14.9434
angles: 90.00 90.00 90.00
Fractional positions:
Tb  0.0000  0.0000  0.0000
Tb  0.0000  0.0000  0.2511
Tb  0.0000  0.0000  0.7489
Ho  0.0000  0.0000  0.5000
Hg  0.5000  0.5000  0.1251
Hg  0.5000  0.5000  0.3781
Hg  0.5000  0.5000  0.6219
Hg  0.5000  0.5000  0.8749

Principal peaks in the range 15° ≤ 2θ ≤ 90°, in order of falling intensity:
- 2θ = 33.99°, I 100
- 2θ = 60.83°, I 38
- 2θ = 48.87°, I 12
- 2θ = 71.54°, I 12
- 2θ = 81.68°, I 11
- 2θ = 48.75°, I 6

***

[4]
Starting from DFT lattice parameters and positions (PBE), the X-ray diffraction stick pattern of ScGa3Pt3 was computed for copper Kα.
No peak broadening, texture or thermal motion is included.

Structure:
abc: 7.0955 7.0955 7.0955
angles: 57.37 57.37 57.37
Fractional positions:
Sc  0.1603  0.1603  0.1603
Sc  0.8397  0.8397  0.8397
Ga  0.0353  0.2319  0.5952
Ga  0.2319  0.5952  0.0353
Ga  0.4048  0.9647  0.7681
Ga  0.5952  0.0353  0.2319
Ga  0.7681  0.4048  0.9647
Ga  0.9647  0.7681  0.4048
Pt  0.1893  0.4223  0.6891
Pt  0.3109  0.8107  0.5777
Pt  0.4223  0.6891  0.1893
Pt  0.5777  0.3109  0.8107
Pt  0.6891  0.1893  0.4223
Pt  0.8107  0.5777  0.3109

Principal peaks in the range 15° ≤ 2θ ≤ 90°, in order of falling intensity:
- 2θ = 30.28°, I 100
- 2θ = 40.43°, I 89
- 2θ = 40.79°, I 63
- 2θ = 41.78°, I 60
- 2θ = 26.17°, I 43
- 2θ = 45.55°, I 41

***

[5]
Starting from DFT lattice parameters and positions (PBE), the X-ray diffraction stick pattern of Fe2Ni7Rh2 was computed for copper Kα.
No peak broadening, texture or thermal motion is included.

Structure:
abc: 5.0177 5.0177 5.6972
angles: 100.78 100.78 99.98
Fractional positions:
Fe  0.2195  0.7805  0.0000
Fe  0.7805  0.2195  0.0000
Ni  0.0454  0.5938  0.3305
Ni  0.0937  0.0937  0.3401
Ni  0.4062  0.9546  0.6695
Ni  0.5000  0.5000  0.5000
Ni  0.5938  0.0454  0.3305
Ni  0.9063  0.9063  0.6599
Ni  0.9546  0.4062  0.6695
Rh  0.3006  0.3006  0.0247
Rh  0.6994  0.6994  0.9753

Principal peaks in the range 15° ≤ 2θ ≤ 90°, in order of falling intensity:
- 2θ = 44.47°, I 100
- 2θ = 44.20°, I 81
- 2θ = 47.31°, I 43
- 2θ = 43.88°, I 32
- 2θ = 50.21°, I 28
- 2θ = 43.35°, I 18

***

[6]
Starting from DFT lattice parameters and positions (PBE), the X-ray diffraction stick pattern of Rb2Sn2Cl7 was computed for copper Kα.
No peak broadening, texture or thermal motion is included.

Structure:
abc: 7.9095 7.9095 6.6977
angles: 93.06 93.06 94.55
Fractional positions:
Rb  0.2241  0.7759  0.0000
Rb  0.7759  0.2241  0.0000
Sn  0.2336  0.2336  0.5767
Sn  0.7360  0.7360  0.4979
Cl  0.0308  0.4511  0.7180
Cl  0.1830  0.1830  0.2038
Cl  0.4511  0.0308  0.7180
Cl  0.4766  0.4766  0.5607
Cl  0.5971  0.8963  0.2284
Cl  0.8963  0.5971  0.2284
Cl  0.9860  0.9860  0.6370

Principal peaks in the range 15° ≤ 2θ ≤ 90°, in order of falling intensity:
- 2θ = 20.26°, I 100
- 2θ = 20.44°, I 33
- 2θ = 33.50°, I 30
- 2θ = 22.59°, I 29
- 2θ = 22.09°, I 22
- 2θ = 34.20°, I 22

***

[7]
Starting from DFT lattice parameters and positions (PBE), the X-ray diffraction stick pattern of KBi6Pd12 was computed for copper Kα.
No peak broadening, texture or thermal motion is included.

Structure:
abc: 7.8128 7.8128 7.8128
angles: 103.91 103.91 103.91
Fractional positions:
K  0.0000  0.0000  0.0000
Bi  0.2619  0.2619  0.6800
Bi  0.2619  0.6800  0.2619
Bi  0.3200  0.7381  0.7381
Bi  0.6800  0.2619  0.2619
Bi  0.7381  0.3200  0.7381
Bi  0.7381  0.7381  0.3200
Pd  0.1124  0.4096  0.4096
Pd  0.1166  0.5000  0.8834
Pd  0.1166  0.8834  0.5000
Pd  0.4096  0.1124  0.4096
Pd  0.4096  0.4096  0.1124
Pd  0.5000  0.1166  0.8834
Pd  0.5000  0.8834  0.1166
Pd  0.5904  0.5904  0.8876
Pd  0.5904  0.8876  0.5904
Pd  0.8834  0.1166  0.5000
Pd  0.8834  0.5000  0.1166
Pd  0.8876  0.5904  0.5904

Principal peaks in the range 15° ≤ 2θ ≤ 90°, in order of falling intensity:
- 2θ = 37.93°, I 100
- 2θ = 37.51°, I 92
- 2θ = 40.70°, I 57
- 2θ = 46.50°, I 39
- 2θ = 73.34°, I 34
- 2θ = 23.90°, I 33

***

[8]
Starting from DFT lattice parameters and positions (PBE), the X-ray diffraction stick pattern of Na2GaCuF7 was computed for copper Kα.
No peak broadening, texture or thermal motion is included.

Structure:
abc: 7.2725 7.2725 12.9971
angles: 106.88 106.88 61.16
Fractional positions:
Na  0.0000  0.0000  0.0000
Na  0.0000  0.0000  0.5000
Na  0.2176  0.2884  0.7491
Na  0.2284  0.7716  0.7500
Na  0.2884  0.2176  0.2491
Na  0.7116  0.7824  0.7509
Na  0.7716  0.2284  0.2500
Na  0.7824  0.7116  0.2509
Ga  0.0000  0.5000  0.5000
Ga  0.2434  0.7566  0.2500
Ga  0.5000  0.0000  0.0000
Ga  0.7566  0.2434  0.7500
Cu  0.0000  0.5000  0.0000
Cu  0.5000  0.0000  0.5000
Cu  0.5000  0.5000  0.0000
Cu  0.5000  0.5000  0.5000
F  0.0071  0.4113  0.3442
F  0.0074  0.9010  0.3263
F  0.0834  0.6014  0.1552
F  0.0990  0.9926  0.1737
F  0.1884  0.2224  0.5328
F  0.2025  0.5480  0.9501
F  0.2172  0.6019  0.5352
F  0.2224  0.1884  0.0328
F  0.3843  0.5182  0.3245
F  0.3981  0.7828  0.9648
F  0.3986  0.9166  0.3448
F  0.4113  0.0071  0.8442
F  0.4520  0.7975  0.5499
F  0.4818  0.6157  0.1755
F  0.5182  0.3843  0.8245
F  0.5480  0.2025  0.4501
F  0.5887  0.9929  0.1558
F  0.6014  0.0834  0.6552
F  0.6019  0.2172  0.0352
F  0.6157  0.4818  0.6755
F  0.7776  0.8116  0.9672
F  0.7828  0.3981  0.4648
F  0.7975  0.4520  0.0499
F  0.8116  0.7776  0.4672
F  0.9010  0.0074  0.8263
F  0.9166  0.3986  0.8448
F  0.9926  0.0990  0.6737
F  0.9929  0.5887  0.6558

Principal peaks in the range 15° ≤ 2θ ≤ 90°, in order of falling intensity:
- 2θ = 29.61°, I 100
- 2θ = 29.19°, I 50
- 2θ = 30.33°, I 43
- 2θ = 17.01°, I 43
- 2θ = 50.19°, I 40
- 2θ = 48.71°, I 36

***

[9]
Starting from DFT lattice parameters and positions (PBE), the X-ray diffraction stick pattern of Dy2Tl2In was computed for copper Kα.
No peak broadening, texture or thermal motion is included.

Structure:
abc: 7.7253 7.7253 4.6040
angles: 90.00 90.00 90.00
Fractional positions:
Dy  0.1684  0.3316  0.0000
Dy  0.3316  0.8316  0.0000
Dy  0.6684  0.1684  0.0000
Dy  0.8316  0.6684  0.0000
Tl  0.1358  0.6358  0.5000
Tl  0.3642  0.1358  0.5000
Tl  0.6358  0.8642  0.5000
Tl  0.8642  0.3642  0.5000
In  0.0000  0.0000  0.5000
In  0.5000  0.5000  0.5000

Principal peaks in the range 15° ≤ 2θ ≤ 90°, in order of falling intensity:
- 2θ = 32.40°, I 100
- 2θ = 36.79°, I 30
- 2θ = 54.79°, I 19
- 2θ = 39.13°, I 18
- 2θ = 68.51°, I 14
- 2θ = 66.69°, I 13

***

[10]
Starting from DFT lattice parameters and positions (PBE), the X-ray diffraction stick pattern of SmCdAg5 was computed for copper Kα.
No peak broadening, texture or thermal motion is included.

Structure:
abc: 9.0166 5.6670 11.4053
angles: 90.00 90.00 90.00
Fractional positions:
Sm  0.2441  0.2500  0.0626
Sm  0.2559  0.7500  0.5626
Sm  0.7441  0.2500  0.4374
Sm  0.7559  0.7500  0.9374
Cd  0.1423  0.7500  0.8531
Cd  0.3577  0.2500  0.3531
Cd  0.6423  0.7500  0.6469
Cd  0.8577  0.2500  0.1469
Ag  0.0630  0.0081  0.3084
Ag  0.0630  0.4919  0.3084
Ag  0.0648  0.7500  0.0879
Ag  0.1016  0.2500  0.5192
Ag  0.1859  0.2500  0.7604
Ag  0.3141  0.7500  0.2604
Ag  0.3984  0.7500  0.0192
Ag  0.4352  0.2500  0.5879
Ag  0.4370  0.5081  0.8084
Ag  0.4370  0.9919  0.8084
Ag  0.5630  0.0081  0.1916
Ag  0.5630  0.4919  0.1916
Ag  0.5648  0.7500  0.4121
Ag  0.6016  0.2500  0.9808
Ag  0.6859  0.2500  0.7396
Ag  0.8141  0.7500  0.2396
Ag  0.8984  0.7500  0.4808
Ag  0.9352  0.2500  0.9121
Ag  0.9370  0.5081  0.6916
Ag  0.9370  0.9919  0.6916

Principal peaks in the range 15° ≤ 2θ ≤ 90°, in order of falling intensity:
- 2θ = 34.69°, I 100
- 2θ = 40.81°, I 47
- 2θ = 32.95°, I 34
- 2θ = 40.97°, I 33
- 2θ = 40.69°, I 27
- 2θ = 38.34°, I 26

***

[11]
Starting from DFT lattice parameters and positions (PBE), the X-ray diffraction stick pattern of K2Li3PbF12 was computed for copper Kα.
No peak broadening, texture or thermal motion is included.

Structure:
abc: 7.4588 7.4588 7.4588
angles: 57.16 57.16 57.16
Fractional positions:
K  0.1071  0.1071  0.1071
K  0.8929  0.8929  0.8929
Li  0.0000  0.5000  0.5000
Li  0.5000  0.0000  0.5000
Li  0.5000  0.5000  0.0000
Pb  0.5000  0.5000  0.5000
F  0.1509  0.5857  0.5857
F  0.1605  0.1605  0.6281
F  0.1605  0.6281  0.1605
F  0.3719  0.8395  0.8395
F  0.4143  0.4143  0.8491
F  0.4143  0.8491  0.4143
F  0.5857  0.1509  0.5857
F  0.5857  0.5857  0.1509
F  0.6281  0.1605  0.1605
F  0.8395  0.3719  0.8395
F  0.8395  0.8395  0.3719
F  0.8491  0.4143  0.4143

Principal peaks in the range 15° ≤ 2θ ≤ 90°, in order of falling intensity:
- 2θ = 17.21°, I 100
- 2θ = 28.85°, I 78
- 2θ = 15.10°, I 74
- 2θ = 27.94°, I 42
- 2θ = 37.80°, I 37
- 2θ = 51.19°, I 34

***

[12]
Starting from DFT lattice parameters and positions (PBE), the X-ray diffraction stick pattern of CsBaTl2Cl8 was computed for copper Kα.
No peak broadening, texture or thermal motion is included.

Structure:
abc: 7.1391 7.1391 10.7242
angles: 90.00 90.00 120.00
Fractional positions:
Cs  0.0000  0.0000  0.0000
Ba  0.0000  0.0000  0.5000
Tl  0.3333  0.6667  0.7680
Tl  0.6667  0.3333  0.2320
Cl  0.0111  0.6820  0.3083
Cl  0.3180  0.3291  0.3083
Cl  0.3291  0.0111  0.6917
Cl  0.3333  0.6667  0.0030
Cl  0.6667  0.3333  0.9970
Cl  0.6709  0.9889  0.3083
Cl  0.6820  0.6709  0.6917
Cl  0.9889  0.3180  0.6917

Principal peaks in the range 15° ≤ 2θ ≤ 90°, in order of falling intensity:
- 2θ = 16.55°, I 100
- 2θ = 21.94°, I 75
- 2θ = 42.17°, I 67
- 2θ = 24.94°, I 62
- 2θ = 33.45°, I 40
- 2θ = 43.93°, I 30

***

Number 10 is which compound?
SmCdAg5